Diffraction record for Li4Co5CuO12. The XRD peak list is simulated, not measured: it uses a cell relaxed with GGA+U and Cu Kα X-rays.
Neutral-atom scattering factors, no anomalous dispersion.

The 8 most intense peaks (5° ≤ 2θ ≤ 70°), in order of rising 2θ:
2theta  I (rel.)
18.15  100
37.14  17
38.68  15
44.42  16
48.34  16
57.87  10
66.16  10
69.24  8

Cell and atoms:
a = 4.9098 Å, b = 4.9098 Å, c = 9.9106 Å
α = 94.67°, β = 94.67°, γ = 120.34°
Fractional coordinates of all 22 atoms:
1 Li 0.0814 0.7434 0.7448
2 Li 0.2566 0.9186 0.2552
3 Li 0.7434 0.0814 0.7448
4 Li 0.9186 0.2566 0.2552
5 Co 0.0000 0.0000 0.5000
6 Co 0.1674 0.8326 0.0000
7 Co 0.3344 0.6656 0.5000
8 Co 0.6656 0.3344 0.5000
9 Co 0.8326 0.1674 0.0000
10 Cu 0.5000 0.5000 0.0000
11 O 0.0267 0.3632 0.6019
12 O 0.1289 0.1289 0.8981
13 O 0.1898 0.5388 0.1063
14 O 0.2891 0.2891 0.3969
15 O 0.3632 0.0267 0.6019
16 O 0.4612 0.8102 0.8937
17 O 0.5388 0.1898 0.1063
18 O 0.6368 0.9733 0.3981
19 O 0.7109 0.7109 0.6031
20 O 0.8102 0.4612 0.8937
21 O 0.8711 0.8711 0.1019
22 O 0.9733 0.6368 0.3981